Computed PXRD pattern
Compound: Li5B8C8
Radiation: Cu Kα (weighted mean of Kα1 and Kα2)
Structure: a GGA-PBE-relaxed structure
Peak positions follow from Bragg's law for the DFT cell and can differ from measured ones.

Most intense lines, 2θ from 15° to 90°, most intense first:
2θ = 25.11°, d = 3.546 Å, I 100
2θ = 46.23°, d = 1.964 Å, I 45
2θ = 68.97°, d = 1.362 Å, I 16
2θ = 51.54°, d = 1.773 Å, I 15
2θ = 38.16°, d = 2.358 Å, I 10
2θ = 74.67°, d = 1.271 Å, I 10
2θ = 87.10°, d = 1.119 Å, I 6
2θ = 15.62°, d = 5.674 Å, I 4

a = 2.7232 Å, b = 2.7232 Å, c = 28.3693 Å
α = 90.00°, β = 90.00°, γ = 120.00°
Sites, in units of the cell vectors:
Li 0.0000 0.0000 0.0000
Li 0.0000 0.0000 0.2483
Li 0.0000 0.0000 0.3765
Li 0.0000 0.0000 0.6235
Li 0.0000 0.0000 0.7517
B 0.3333 0.6667 0.0623
B 0.3333 0.6667 0.3126
B 0.3333 0.6667 0.5610
B 0.3333 0.6667 0.8142
B 0.6667 0.3333 0.1858
B 0.6667 0.3333 0.4390
B 0.6667 0.3333 0.6874
B 0.6667 0.3333 0.9377
C 0.3333 0.6667 0.1881
C 0.3333 0.6667 0.4367
C 0.3333 0.6667 0.6873
C 0.3333 0.6667 0.9397
C 0.6667 0.3333 0.0603
C 0.6667 0.3333 0.3127
C 0.6667 0.3333 0.5633
C 0.6667 0.3333 0.8119



Computed PXRD pattern
Compound: LiB2C2
Radiation: Cu Kα (weighted mean of Kα1 and Kα2)
Structure: a GGA-PBE-relaxed structure
Peak positions follow from Bragg's law for the DFT cell and can differ from measured ones.

Most intense lines, 2θ from 15° to 90°, most intense first:
2θ = 24.28°, d = 3.666 Å, I 100
2θ = 45.94°, d = 1.975 Å, I 35
2θ = 49.74°, d = 1.833 Å, I 13
2θ = 69.43°, d = 1.354 Å, I 12
2θ = 38.39°, d = 2.345 Å, I 10
2θ = 74.75°, d = 1.270 Å, I 9
2θ = 87.32°, d = 1.117 Å, I 4
2θ = 22.26°, d = 3.994 Å, I 3

a = 7.8161 Å, b = 7.8161 Å, c = 7.8161 Å
α = 34.91°, β = 34.91°, γ = 34.91°
Sites, in units of the cell vectors:
Li 0.0000 0.0000 0.0000
Li 0.1669 0.1669 0.1669
Li 0.8331 0.8331 0.8331
B 0.0873 0.4201 0.7482
B 0.2518 0.9127 0.5799
B 0.4201 0.7482 0.0873
B 0.5799 0.2518 0.9127
B 0.7482 0.0873 0.4201
B 0.9127 0.5799 0.2518
C 0.0844 0.7554 0.4182
C 0.2446 0.5818 0.9156
C 0.4182 0.0844 0.7554
C 0.5818 0.9156 0.2446
C 0.7554 0.4182 0.0844
C 0.9156 0.2446 0.5818



Computed PXRD pattern
Compound: Li5B6C6
Radiation: Cu Kα (weighted mean of Kα1 and Kα2)
Structure: a GGA-PBE-relaxed structure
Peak positions follow from Bragg's law for the DFT cell and can differ from measured ones.

Most intense lines, 2θ from 15° to 90°, most intense first:
2θ = 24.98°, d = 3.564 Å, I 100
2θ = 46.02°, d = 1.972 Å, I 61
2θ = 68.66°, d = 1.367 Å, I 20
2θ = 51.26°, d = 1.782 Å, I 19
2θ = 74.32°, d = 1.276 Å, I 9
2θ = 86.66°, d = 1.123 Å, I 8
2θ = 38.01°, d = 2.368 Å, I 8
2θ = 40.13°, d = 2.247 Å, I 3

a = 4.7352 Å, b = 4.7352 Å, c = 7.1292 Å
α = 90.00°, β = 90.00°, γ = 120.00°
Sites, in units of the cell vectors:
Li 0.0000 0.0000 0.0000
Li 0.3333 0.6667 0.0000
Li 0.3333 0.6667 0.5000
Li 0.6667 0.3333 0.0000
Li 0.6667 0.3333 0.5000
B 0.0000 0.3318 0.7513
B 0.0000 0.6682 0.2487
B 0.3318 0.0000 0.7513
B 0.3318 0.3318 0.2487
B 0.6682 0.0000 0.2487
B 0.6682 0.6682 0.7513
C 0.0000 0.3349 0.2463
C 0.0000 0.6651 0.7537
C 0.3349 0.0000 0.2463
C 0.3349 0.3349 0.7537
C 0.6651 0.0000 0.7537
C 0.6651 0.6651 0.2463



Computed PXRD pattern
Compound: LiB2C2
Radiation: Cu Kα (weighted mean of Kα1 and Kα2)
Structure: a GGA-PBE-relaxed structure
Peak positions follow from Bragg's law for the DFT cell and can differ from measured ones.

Most intense lines, 2θ from 15° to 90°, most intense first:
2θ = 24.37°, d = 3.653 Å, I 100
2θ = 45.98°, d = 1.974 Å, I 35
2θ = 49.94°, d = 1.826 Å, I 13
2θ = 69.40°, d = 1.354 Å, I 12
2θ = 38.38°, d = 2.346 Å, I 10
2θ = 74.76°, d = 1.270 Å, I 10
2θ = 87.32°, d = 1.117 Å, I 4
2θ = 64.69°, d = 1.441 Å, I 2

a = 7.7910 Å, b = 7.7910 Å, c = 4.6919 Å
α = 90.07°, β = 90.07°, γ = 40.68°
Sites, in units of the cell vectors:
Li 0.0000 0.0000 0.0000
Li 0.2490 0.2490 0.9993
Li 0.2562 0.7437 0.4995
Li 0.7437 0.2562 0.4995
B 0.1233 0.1233 0.3362
B 0.1284 0.6286 0.1665
B 0.3738 0.8684 0.8344
B 0.3759 0.3759 0.6666
B 0.6256 0.6256 0.3319
B 0.6286 0.1284 0.1665
B 0.8684 0.3738 0.8344
B 0.8748 0.8748 0.6661
C 0.1184 0.1184 0.6737
C 0.1269 0.6275 0.8307
C 0.3714 0.8736 0.1700
C 0.3781 0.3781 0.3310
C 0.6203 0.6203 0.6667
C 0.6275 0.1269 0.8307
C 0.8736 0.3714 0.1700
C 0.8827 0.8827 0.3305



Computed PXRD pattern
Compound: LiB4C4
Radiation: Cu Kα (weighted mean of Kα1 and Kα2)
Structure: a GGA-PBE-relaxed structure
Peak positions follow from Bragg's law for the DFT cell and can differ from measured ones.

Most intense lines, 2θ from 15° to 90°, most intense first:
2θ = 23.40°, d = 3.802 Å, I 100
2θ = 45.17°, d = 2.007 Å, I 59
2θ = 38.03°, d = 2.366 Å, I 45
2θ = 47.85°, d = 1.901 Å, I 42
2θ = 31.37°, d = 2.851 Å, I 40
2θ = 15.54°, d = 5.703 Å, I 35
2θ = 73.79°, d = 1.284 Å, I 29
2θ = 39.51°, d = 2.281 Å, I 20

a = 11.7272 Å, b = 11.7272 Å, c = 11.7272 Å
α = 166.61°, β = 26.91°, γ = 156.77°
Sites, in units of the cell vectors:
Li 0.1751 0.0000 0.1751
Li 0.8249 0.0000 0.8249
B 0.0709 0.6616 0.4093
B 0.1143 0.3599 0.7544
B 0.1849 0.1849 0.0000
B 0.2522 0.6616 0.5907
B 0.5663 0.6605 0.9058
B 0.6055 0.3599 0.2456
B 0.6860 0.1860 0.5000
B 0.7547 0.6605 0.0942
C 0.0149 0.5149 0.5000
C 0.2398 0.3301 0.9097
C 0.4204 0.3301 0.0903
C 0.4392 0.6934 0.7458
C 0.5164 0.5164 0.0000
C 0.7342 0.3297 0.4045
C 0.9252 0.3297 0.5955
C 0.9476 0.6934 0.2542



Computed PXRD pattern
Compound: Li5B8C8
Radiation: Cu Kα (weighted mean of Kα1 and Kα2)
Structure: a GGA-PBE-relaxed structure
Peak positions follow from Bragg's law for the DFT cell and can differ from measured ones.

Most intense lines, 2θ from 15° to 90°, most intense first:
2θ = 26.29°, d = 3.389 Å, I 100
2θ = 46.78°, d = 1.942 Å, I 26
2θ = 46.96°, d = 1.935 Å, I 26
2θ = 69.08°, d = 1.360 Å, I 15
2θ = 54.12°, d = 1.695 Å, I 10
2θ = 38.08°, d = 2.363 Å, I 9
2θ = 47.25°, d = 1.924 Å, I 9
2θ = 68.69°, d = 1.366 Å, I 8

a = 13.8066 Å, b = 13.8066 Å, c = 4.7027 Å
α = 99.28°, β = 99.28°, γ = 11.36°
Sites, in units of the cell vectors:
Li 0.0000 0.0000 0.0000
Li 0.1326 0.1326 0.1234
Li 0.4996 0.4996 0.4989
Li 0.6324 0.6324 0.6232
Li 0.8707 0.8707 0.8646
B 0.0668 0.0668 0.7270
B 0.1989 0.1989 0.5192
B 0.2986 0.2986 0.9577
B 0.4365 0.4365 0.7708
B 0.5668 0.5668 0.2269
B 0.6990 0.6990 0.0196
B 0.8023 0.8023 0.4598
B 0.9341 0.9341 0.2739
C 0.0669 0.0669 0.3922
C 0.1964 0.1964 0.8526
C 0.3038 0.3038 0.6226
C 0.4353 0.4353 0.1073
C 0.5670 0.5670 0.8923
C 0.6965 0.6965 0.3530
C 0.7996 0.7996 0.1184
C 0.9380 0.9380 0.6105



Computed PXRD pattern
Compound: Li5B8C8
Radiation: Cu Kα (weighted mean of Kα1 and Kα2)
Structure: a GGA-PBE-relaxed structure
Peak positions follow from Bragg's law for the DFT cell and can differ from measured ones.

Most intense lines, 2θ from 15° to 90°, most intense first:
2θ = 24.45°, d = 3.640 Å, I 100
2θ = 46.05°, d = 1.971 Å, I 22
2θ = 50.12°, d = 1.820 Å, I 15
2θ = 69.07°, d = 1.360 Å, I 10
2θ = 45.85°, d = 1.979 Å, I 7
2θ = 46.15°, d = 1.967 Å, I 7
2θ = 45.74°, d = 1.984 Å, I 7
2θ = 38.43°, d = 2.343 Å, I 7

a = 4.7238 Å, b = 5.3954 Å, c = 7.7638 Å
α = 99.87°, β = 107.58°, γ = 90.01°
Sites, in units of the cell vectors:
Li 0.0000 0.0000 0.0000
Li 0.9998 0.4847 0.0000
Li 0.2507 0.6410 0.4993
Li 0.4979 0.7394 0.9983
Li 0.7475 0.3475 0.4995
B 0.0387 0.6811 0.7496
B 0.0429 0.1783 0.7497
B 0.4569 0.0531 0.2455
B 0.4593 0.5532 0.2463
B 0.5390 0.4278 0.7521
B 0.5420 0.9345 0.7540
B 0.9569 0.8053 0.2464
B 0.9600 0.3039 0.2518
C 0.2074 0.4307 0.7485
C 0.2139 0.9302 0.7550
C 0.2830 0.8004 0.2367
C 0.2903 0.3053 0.2515
C 0.7091 0.6808 0.7548
C 0.7160 0.1818 0.7544
C 0.7859 0.0533 0.2445
C 0.7919 0.5548 0.2501



Computed PXRD pattern
Compound: LiB2C2
Radiation: Cu Kα (weighted mean of Kα1 and Kα2)
Structure: a GGA-PBE-relaxed structure
Peak positions follow from Bragg's law for the DFT cell and can differ from measured ones.

Most intense lines, 2θ from 15° to 90°, most intense first:
2θ = 24.53°, d = 3.629 Å, I 100
2θ = 46.11°, d = 1.969 Å, I 19
2θ = 50.29°, d = 1.814 Å, I 13
2θ = 46.33°, d = 1.960 Å, I 11
2θ = 69.21°, d = 1.357 Å, I 8
2θ = 38.54°, d = 2.336 Å, I 8
2θ = 45.66°, d = 1.987 Å, I 5
2θ = 69.99°, d = 1.344 Å, I 4

a = 7.7268 Å, b = 7.7268 Å, c = 9.4365 Å
α = 107.21°, β = 107.21°, γ = 20.04°
Sites, in units of the cell vectors:
Li 0.0000 0.0000 0.0000
Li 0.0049 0.0049 0.4615
Li 0.5021 0.5021 0.7309
Li 0.7497 0.7497 0.8490
B 0.1228 0.1228 0.7050
B 0.1312 0.1312 0.2123
B 0.3723 0.3723 0.0004
B 0.3807 0.3807 0.5018
B 0.6257 0.6257 0.9599
B 0.6353 0.6353 0.4626
B 0.8736 0.8736 0.2477
B 0.8788 0.8788 0.7502
C 0.1227 0.1227 0.8706
C 0.1351 0.1351 0.3779
C 0.3777 0.3777 0.8373
C 0.3794 0.3794 0.3367
C 0.6238 0.6238 0.6208
C 0.6256 0.6256 0.1235
C 0.8706 0.8706 0.0828
C 0.8858 0.8858 0.5901



Computed PXRD pattern
Compound: Li5B6C6
Radiation: Cu Kα (weighted mean of Kα1 and Kα2)
Structure: a GGA-PBE-relaxed structure
Peak positions follow from Bragg's law for the DFT cell and can differ from measured ones.

Most intense lines, 2θ from 15° to 90°, most intense first:
2θ = 26.09°, d = 3.416 Å, I 100
2θ = 46.58°, d = 1.950 Å, I 69
2θ = 68.42°, d = 1.371 Å, I 27
2θ = 53.67°, d = 1.708 Å, I 13
2θ = 74.58°, d = 1.272 Å, I 11
2θ = 37.88°, d = 2.375 Å, I 10
2θ = 86.84°, d = 1.122 Å, I 9
2θ = 48.89°, d = 1.863 Å, I 7

a = 2.7423 Å, b = 2.7423 Å, c = 20.4934 Å
α = 90.00°, β = 90.00°, γ = 120.00°
Sites, in units of the cell vectors:
Li 0.0000 0.0000 0.0000
Li 0.0000 0.0000 0.1722
Li 0.0000 0.0000 0.3450
Li 0.0000 0.0000 0.6550
Li 0.0000 0.0000 0.8278
B 0.3333 0.6667 0.0860
B 0.3333 0.6667 0.4319
B 0.3333 0.6667 0.7419
B 0.6667 0.3333 0.2581
B 0.6667 0.3333 0.5681
B 0.6667 0.3333 0.9140
C 0.3333 0.6667 0.2578
C 0.3333 0.6667 0.5713
C 0.3333 0.6667 0.9140
C 0.6667 0.3333 0.0860
C 0.6667 0.3333 0.4287
C 0.6667 0.3333 0.7422



Computed PXRD pattern
Compound: Li5B8C8
Radiation: Cu Kα (weighted mean of Kα1 and Kα2)
Structure: a GGA-PBE-relaxed structure
Peak positions follow from Bragg's law for the DFT cell and can differ from measured ones.

Most intense lines, 2θ from 15° to 90°, most intense first:
2θ = 24.58°, d = 3.621 Å, I 100
2θ = 46.19°, d = 1.965 Å, I 22
2θ = 50.40°, d = 1.811 Å, I 15
2θ = 45.97°, d = 1.974 Å, I 14
2θ = 69.14°, d = 1.359 Å, I 10
2θ = 45.72°, d = 1.984 Å, I 7
2θ = 38.35°, d = 2.347 Å, I 6
2θ = 69.45°, d = 1.353 Å, I 5

a = 4.7132 Å, b = 5.4135 Å, c = 7.7112 Å
α = 100.00°, β = 107.22°, γ = 90.01°
Sites, in units of the cell vectors:
Li 0.0000 0.0000 0.0000
Li 0.9996 0.4850 0.9999
Li 0.4957 0.7423 0.9993
Li 0.7500 0.3681 0.5001
Li 0.7498 0.8668 0.4990
B 0.2140 0.4281 0.7480
B 0.2139 0.9312 0.7482
B 0.2808 0.8059 0.2540
B 0.2837 0.3064 0.2559
B 0.7089 0.1804 0.7513
B 0.7122 0.6811 0.7541
B 0.7786 0.0548 0.2430
B 0.7788 0.5517 0.2431
C 0.0389 0.1792 0.7465
C 0.0463 0.6812 0.7543
C 0.4521 0.0548 0.2522
C 0.4521 0.5561 0.2522
C 0.5459 0.4317 0.7542
C 0.5458 0.9307 0.7544
C 0.9431 0.8020 0.2382
C 0.9501 0.3038 0.2453



Computed PXRD pattern
Compound: Li7B8C8
Radiation: Cu Kα (weighted mean of Kα1 and Kα2)
Structure: a GGA-PBE-relaxed structure
Peak positions follow from Bragg's law for the DFT cell and can differ from measured ones.

Most intense lines, 2θ from 15° to 90°, most intense first:
2θ = 25.03°, d = 3.557 Å, I 100
2θ = 45.90°, d = 1.977 Å, I 33
2θ = 46.06°, d = 1.970 Å, I 23
2θ = 68.54°, d = 1.369 Å, I 22
2θ = 51.37°, d = 1.779 Å, I 20
2θ = 46.15°, d = 1.967 Å, I 10
2θ = 37.94°, d = 2.371 Å, I 7
2θ = 86.39°, d = 1.126 Å, I 4

a = 4.7410 Å, b = 2.7392 Å, c = 14.2295 Å
α = 90.00°, β = 90.37°, γ = 90.00°
Sites, in units of the cell vectors:
Li 0.0000 0.0000 0.0000
Li 0.0000 0.0000 0.5000
Li 0.0040 0.0000 0.2515
Li 0.4972 0.5000 0.7482
Li 0.5000 0.5000 0.0000
Li 0.5028 0.5000 0.2518
Li 0.9960 0.0000 0.7485
B 0.1629 0.5000 0.6283
B 0.1686 0.5000 0.1242
B 0.3313 0.0000 0.8757
B 0.3420 0.0000 0.3757
B 0.6580 0.0000 0.6243
B 0.6687 0.0000 0.1243
B 0.8314 0.5000 0.8758
B 0.8371 0.5000 0.3717
C 0.1643 0.5000 0.8764
C 0.1716 0.5000 0.3732
C 0.3276 0.0000 0.6309
C 0.3357 0.0000 0.1237
C 0.6643 0.0000 0.8763
C 0.6724 0.0000 0.3691
C 0.8284 0.5000 0.6268
C 0.8357 0.5000 0.1236



Question: What is the formula in the third record?
Answer: Li5B6C6



Please write out number 10 again, unchanged.
Computed PXRD pattern
Compound: Li5B8C8
Radiation: Cu Kα (weighted mean of Kα1 and Kα2)
Structure: a GGA-PBE-relaxed structure
Peak positions follow from Bragg's law for the DFT cell and can differ from measured ones.

Most intense lines, 2θ from 15° to 90°, most intense first:
2θ = 24.58°, d = 3.621 Å, I 100
2θ = 46.19°, d = 1.965 Å, I 22
2θ = 50.40°, d = 1.811 Å, I 15
2θ = 45.97°, d = 1.974 Å, I 14
2θ = 69.14°, d = 1.359 Å, I 10
2θ = 45.72°, d = 1.984 Å, I 7
2θ = 38.35°, d = 2.347 Å, I 6
2θ = 69.45°, d = 1.353 Å, I 5

a = 4.7132 Å, b = 5.4135 Å, c = 7.7112 Å
α = 100.00°, β = 107.22°, γ = 90.01°
Sites, in units of the cell vectors:
Li 0.0000 0.0000 0.0000
Li 0.9996 0.4850 0.9999
Li 0.4957 0.7423 0.9993
Li 0.7500 0.3681 0.5001
Li 0.7498 0.8668 0.4990
B 0.2140 0.4281 0.7480
B 0.2139 0.9312 0.7482
B 0.2808 0.8059 0.2540
B 0.2837 0.3064 0.2559
B 0.7089 0.1804 0.7513
B 0.7122 0.6811 0.7541
B 0.7786 0.0548 0.2430
B 0.7788 0.5517 0.2431
C 0.0389 0.1792 0.7465
C 0.0463 0.6812 0.7543
C 0.4521 0.0548 0.2522
C 0.4521 0.5561 0.2522
C 0.5459 0.4317 0.7542
C 0.5458 0.9307 0.7544
C 0.9431 0.8020 0.2382
C 0.9501 0.3038 0.2453



Question: What is the formula in the fifth record?
Answer: LiB4C4